Starting from DFT lattice parameters and positions (GGA-PBE), the X-ray diffraction stick pattern of Pr2ZrCuSe5 was calculated for CuKα.
Intensities are scaled so that the largest is 100.

Peak list (10 most intense, 10° ≤ 2θ ≤ 80°, low angle first)
2theta	I/Imax
24.21	19
30.79	16
31.31	36
31.87	100
33.88	19
37.07	50
40.75	14
43.68	13
45.34	28
56.13	14

Atomic structure:
abc: 9.0432 9.0432 12.1340
angles: 90.00 90.00 154.45
Element x y z (fractional)
Pr1 0.1153 0.8847 0.5000
Pr2 0.1249 0.8751 0.1245
Pr3 0.8751 0.1249 0.6245
Pr4 0.8847 0.1153 0.0000
Zr1 0.1864 0.8136 0.8215
Zr2 0.8136 0.1864 0.3215
Cu1 0.4320 0.5680 0.2466
Cu2 0.5680 0.4320 0.7466
Se1 0.0416 0.9584 0.8533
Se2 0.2916 0.7084 0.4777
Se3 0.3054 0.6946 0.1623
Se4 0.3482 0.6518 0.8144
Se5 0.4970 0.5030 0.5768
Se6 0.5030 0.4970 0.0768
Se7 0.6518 0.3482 0.3144
Se8 0.6946 0.3054 0.6623
Se9 0.7084 0.2916 0.9777
Se10 0.9584 0.0416 0.3533


Starting from DFT lattice parameters and positions (GGA-PBE), the X-ray diffraction stick pattern of Pr3Cu7Si4 was calculated for CuKα.
Intensities are scaled so that the largest is 100.

Peak list (10 most intense, 10° ≤ 2θ ≤ 80°, low angle first)
2theta	I/Imax
23.36	33
30.28	28
36.06	65
36.41	100
36.79	19
37.37	18
39.15	18
39.42	24
43.21	43
43.51	24

Atomic structure:
abc: 7.9658 7.9658 9.1464
angles: 124.28 124.28 30.48
Element x y z (fractional)
Pr1 0.0000 0.0000 0.0000
Pr2 0.3064 0.3064 0.3056
Pr3 0.6936 0.6936 0.6944
Cu1 0.0000 0.0000 0.5000
Cu2 0.1465 0.1465 0.8829
Cu3 0.3292 0.3292 0.6801
Cu4 0.4972 0.4972 0.2845
Cu5 0.5028 0.5028 0.7155
Cu6 0.6708 0.6708 0.3199
Cu7 0.8535 0.8535 0.1171
Si1 0.1195 0.1195 0.4040
Si2 0.3405 0.3405 0.9703
Si3 0.6595 0.6595 0.0297
Si4 0.8805 0.8805 0.5960


Starting from DFT lattice parameters and positions (GGA-PBE), the X-ray diffraction stick pattern of Pr3CuSi4 was calculated for CuKα.
Intensities are scaled so that the largest is 100.

Peak list (10 most intense, 10° ≤ 2θ ≤ 80°, low angle first)
2theta	I/Imax
23.84	42
27.86	100
31.72	15
35.95	29
37.99	15
39.54	20
40.07	13
46.69	14
54.18	16
55.65	17

Atomic structure:
abc: 8.2992 8.2992 8.2992
angles: 148.12 140.26 51.82
Element x y z (fractional)
Pr1 0.0000 0.0000 0.0000
Pr2 0.3067 0.8067 0.5000
Pr3 0.6933 0.1933 0.5000
Cu1 0.5000 0.5000 0.0000
Si1 0.0974 0.3839 0.7135
Si2 0.3296 0.6161 0.7135
Si3 0.6704 0.3839 0.2865
Si4 0.9026 0.6161 0.2865